(1)
Simulated X-ray powder pattern
Compound: CeMg3O4
Radiation: Cu Kα
Structure: a structure optimized by DFT (GGA-PBE)

Atomic structure:
```
CeMg3O4
1.0
4.681 0.000 0.000
0.000 4.681 0.000
0.000 0.000 4.681
Ce Mg O
1 3 4
Direct
0.000 0.000 0.000 Ce
0.000 0.500 0.500 Mg
0.500 0.000 0.500 Mg
0.500 0.500 0.000 Mg
0.000 0.000 0.500 O
0.000 0.500 0.000 O
0.500 0.000 0.000 O
0.500 0.500 0.500 O
```

Top 10 peaks for 2θ = 10–80°, low angle first:
2theta	I/Imax
18.96	97
26.94	83
33.15	56
38.46	100
43.21	47
47.58	36
55.52	63
59.21	23
66.21	27
69.57	20

(2)
Simulated X-ray powder pattern
Compound: RbCeMg14O16
Radiation: Cu Kα
Structure: a structure optimized by DFT (GGA-PBE)

Atomic structure:
```
RbCeMg14O16
1.0
4.551 0.000 0.000
0.000 8.800 0.000
0.000 0.000 8.965
Rb Ce Mg O
1 1 14 16
Direct
0.000 0.000 0.000 Rb
0.000 0.000 0.500 Ce
0.000 0.265 0.241 Mg
0.000 0.265 0.759 Mg
0.000 0.500 0.000 Mg
0.000 0.500 0.500 Mg
0.000 0.735 0.241 Mg
0.000 0.735 0.759 Mg
0.500 0.000 0.234 Mg
0.500 0.000 0.766 Mg
0.500 0.257 0.000 Mg
0.500 0.267 0.500 Mg
0.500 0.500 0.247 Mg
0.500 0.500 0.753 Mg
0.500 0.733 0.500 Mg
0.500 0.743 0.000 Mg
0.000 0.000 0.264 O
0.000 0.000 0.736 O
0.000 0.268 0.500 O
0.000 0.282 0.000 O
0.000 0.500 0.255 O
0.000 0.500 0.745 O
0.000 0.718 0.000 O
0.000 0.732 0.500 O
0.500 0.000 0.000 O
0.500 0.000 0.500 O
0.500 0.250 0.250 O
0.500 0.250 0.750 O
0.500 0.500 0.000 O
0.500 0.500 0.500 O
0.500 0.750 0.250 O
0.500 0.750 0.750 O
```

Top 10 peaks for 2θ = 10–80°, low angle first:
2theta	I/Imax
10.05	74
29.76	40
34.71	82
39.61	100
40.24	93
41.03	84
57.74	57
58.34	53
58.81	54
73.25	49

(3)
Simulated X-ray powder pattern
Compound: Ce2MgTi4O12
Radiation: Cu Kα
Structure: a structure optimized by DFT (GGA-PBE)

Atomic structure:
```
Ce2MgTi4O12
1.0
5.553 -4.412 0.000
5.553 4.412 0.000
-2.129 0.000 4.741
Ce Mg Ti O
2 1 4 12
Direct
0.000 0.000 0.000 Ce
0.628 0.372 0.500 Ce
0.387 0.613 0.000 Mg
0.009 0.534 0.304 Ti
0.141 0.332 0.770 Ti
0.466 0.991 0.696 Ti
0.668 0.859 0.230 Ti
0.106 0.624 0.708 O
0.211 0.060 0.780 O
0.259 0.472 0.191 O
0.376 0.894 0.292 O
0.413 0.310 0.725 O
0.528 0.741 0.809 O
0.635 0.092 0.105 O
0.690 0.587 0.275 O
0.720 0.009 0.615 O
0.908 0.365 0.895 O
0.940 0.789 0.220 O
0.991 0.280 0.385 O
```

Top 10 peaks for 2θ = 10–80°, low angle first:
2theta	I/Imax
13.31	24
25.84	100
26.80	56
27.32	80
27.62	42
28.32	26
31.67	26
34.59	26
48.63	24
52.03	24

(4)
Simulated X-ray powder pattern
Compound: CeMgTi2O6
Radiation: Cu Kα
Structure: a structure optimized by DFT (GGA-PBE)

Atomic structure:
```
CeMgTi2O6
1.0
5.521 -1.847 0.000
5.521 1.847 0.000
-2.044 0.000 6.785
Ce Mg Ti O
1 1 2 6
Direct
0.000 0.000 0.000 Ce
0.500 0.500 0.500 Mg
0.223 0.223 0.665 Ti
0.777 0.777 0.335 Ti
0.055 0.055 0.701 O
0.311 0.311 0.444 O
0.361 0.361 0.885 O
0.639 0.639 0.115 O
0.689 0.689 0.556 O
0.945 0.945 0.299 O
```

Top 10 peaks for 2θ = 10–80°, low angle first:
2theta	I/Imax
18.05	54
24.14	62
25.54	41
26.82	76
29.90	100
33.91	28
34.91	47
35.16	36
45.69	28
49.34	25

(5)
Simulated X-ray powder pattern
Compound: CeMgTi2O6
Radiation: Cu Kα
Structure: a structure optimized by DFT (GGA-PBE)

Atomic structure:
```
CeMgTi2O6
1.0
4.848 -2.019 0.000
4.848 2.019 0.000
-3.038 0.000 6.426
Ce Mg Ti O
1 1 2 6
Direct
0.000 0.000 0.000 Ce
0.559 0.559 0.702 Mg
0.215 0.215 0.567 Ti
0.833 0.833 0.377 Ti
0.020 0.020 0.325 O
0.069 0.069 0.718 O
0.358 0.358 0.428 O
0.400 0.400 0.838 O
0.695 0.695 0.107 O
0.724 0.724 0.585 O
```

Top 10 peaks for 2θ = 10–80°, low angle first:
2theta	I/Imax
19.02	81
24.26	100
26.47	54
27.76	31
29.16	84
30.14	66
33.63	55
35.59	70
44.77	35
44.89	53

(6)
Simulated X-ray powder pattern
Compound: Ce2MgTi4O12
Radiation: Cu Kα
Structure: a structure optimized by DFT (GGA-PBE)

Atomic structure:
```
Ce2MgTi4O12
1.0
5.136 0.000 0.000
2.243 6.424 0.000
1.944 0.992 7.282
Ce Mg Ti O
2 1 4 12
Direct
0.000 0.000 0.000 Ce
0.415 0.374 0.686 Ce
0.980 0.639 0.384 Mg
0.195 0.315 0.182 Ti
0.228 0.012 0.507 Ti
0.651 0.539 0.050 Ti
0.721 0.839 0.701 Ti
0.069 0.351 0.956 O
0.117 0.726 0.578 O
0.141 0.046 0.263 O
0.227 0.314 0.442 O
0.255 0.636 0.137 O
0.337 0.027 0.745 O
0.577 0.259 0.060 O
0.618 0.867 0.456 O
0.639 0.574 0.772 O
0.734 0.802 0.961 O
0.793 0.490 0.264 O
0.840 0.098 0.670 O
```

Top 10 peaks for 2θ = 10–80°, low angle first:
2theta	I/Imax
12.15	48
24.39	79
26.15	51
26.50	100
26.75	52
28.04	23
28.20	56
29.87	31
35.09	27
47.90	31

(7)
Simulated X-ray powder pattern
Compound: Ce2MgTi4O12
Radiation: Cu Kα
Structure: a structure optimized by DFT (GGA-PBE)

Atomic structure:
```
Ce2MgTi4O12
1.0
5.179 0.000 0.000
1.989 6.351 0.000
1.688 1.387 7.560
Ce Mg Ti O
2 1 4 12
Direct
0.169 0.204 0.338 Ce
0.831 0.796 0.662 Ce
0.500 0.000 0.000 Mg
0.012 0.817 0.161 Ti
0.486 0.344 0.667 Ti
0.514 0.656 0.333 Ti
0.988 0.183 0.839 Ti
0.089 0.122 0.075 O
0.094 0.444 0.747 O
0.111 0.837 0.392 O
0.393 0.707 0.105 O
0.402 0.051 0.746 O
0.452 0.373 0.415 O
0.548 0.627 0.585 O
0.598 0.949 0.254 O
0.607 0.293 0.895 O
0.889 0.163 0.608 O
0.906 0.556 0.253 O
0.911 0.878 0.925 O
```

Top 10 peaks for 2θ = 10–80°, low angle first:
2theta	I/Imax
11.71	69
20.05	57
23.18	56
25.24	60
25.82	50
25.94	99
26.46	100
28.61	89
28.76	53
34.95	48

(8)
Simulated X-ray powder pattern
Compound: CeMgPt
Radiation: Cu Kα
Structure: a structure optimized by DFT (GGA-PBE)

Atomic structure:
```
CeMgPt
1.0
7.529 0.000 0.000
-3.765 6.521 0.000
0.000 0.000 4.116
Ce Mg Pt
3 3 3
Direct
0.000 0.585 0.000 Ce
0.415 0.415 0.000 Ce
0.585 0.000 0.000 Ce
0.000 0.240 0.500 Mg
0.240 0.000 0.500 Mg
0.760 0.760 0.500 Mg
0.000 0.000 0.000 Pt
0.333 0.667 0.500 Pt
0.667 0.333 0.500 Pt
```

Top 10 peaks for 2θ = 10–80°, low angle first:
2theta	I/Imax
23.63	56
25.59	31
32.23	58
35.11	100
41.55	37
42.77	38
44.00	22
50.51	25
62.11	24
66.51	25

(9)
Simulated X-ray powder pattern
Compound: Ce4MgRh
Radiation: Cu Kα
Structure: a structure optimized by DFT (GGA-PBE)

Atomic structure:
```
Ce4MgRh
1.0
0.000 6.912 6.912
6.912 0.000 6.912
6.912 6.912 0.000
Ce Mg Rh
16 4 4
Direct
0.187 0.187 0.813 Ce
0.187 0.813 0.187 Ce
0.187 0.813 0.813 Ce
0.401 0.401 0.401 Ce
0.401 0.401 0.796 Ce
0.401 0.796 0.401 Ce
0.559 0.559 0.941 Ce
0.559 0.941 0.559 Ce
0.559 0.941 0.941 Ce
0.796 0.401 0.401 Ce
0.813 0.187 0.187 Ce
0.813 0.187 0.813 Ce
0.813 0.813 0.187 Ce
0.941 0.559 0.559 Ce
0.941 0.559 0.941 Ce
0.941 0.941 0.559 Ce
0.169 0.169 0.169 Mg
0.169 0.169 0.492 Mg
0.169 0.492 0.169 Mg
0.492 0.169 0.169 Mg
0.174 0.609 0.609 Rh
0.609 0.174 0.609 Rh
0.609 0.609 0.174 Rh
0.609 0.609 0.609 Rh
```

Top 10 peaks for 2θ = 10–80°, low angle first:
2theta	I/Imax
11.09	21
28.14	41
31.71	52
33.69	100
36.78	39
50.73	12
54.32	14
56.49	48
57.76	15
70.46	14

(10)
Simulated X-ray powder pattern
Compound: Ce4MgRu
Radiation: Cu Kα
Structure: a structure optimized by DFT (GGA-PBE)

Atomic structure:
```
Ce4MgRu
1.0
0.000 6.898 6.898
6.898 0.000 6.898
6.898 6.898 0.000
Ce Mg Ru
16 4 4
Direct
0.036 0.655 0.655 Ce
0.060 0.060 0.440 Ce
0.060 0.440 0.060 Ce
0.060 0.440 0.440 Ce
0.189 0.189 0.811 Ce
0.189 0.811 0.189 Ce
0.189 0.811 0.811 Ce
0.440 0.060 0.060 Ce
0.440 0.060 0.440 Ce
0.440 0.440 0.060 Ce
0.655 0.036 0.655 Ce
0.655 0.655 0.036 Ce
0.655 0.655 0.655 Ce
0.811 0.189 0.189 Ce
0.811 0.189 0.811 Ce
0.811 0.811 0.189 Ce
0.421 0.421 0.421 Mg
0.421 0.421 0.737 Mg
0.421 0.737 0.421 Mg
0.737 0.421 0.421 Mg
0.411 0.863 0.863 Ru
0.863 0.411 0.863 Ru
0.863 0.863 0.411 Ru
0.863 0.863 0.863 Ru
```

Top 10 peaks for 2θ = 10–80°, low angle first:
2theta	I/Imax
11.11	28
28.20	46
31.78	58
33.76	100
36.86	41
50.84	12
54.44	16
56.61	52
57.89	15
70.62	14

(11)
Simulated X-ray powder pattern
Compound: Ce2Mg17Ru4
Radiation: Cu Kα
Structure: a structure optimized by DFT (GGA-PBE)

Atomic structure:
```
Ce2Mg17Ru4
1.0
-4.937 4.937 5.028
4.937 -4.937 5.028
4.937 4.937 -5.028
Ce Mg Ru
2 17 4
Direct
0.147 0.147 0.000 Ce
0.853 0.853 0.000 Ce
0.000 0.324 0.324 Mg
0.000 0.676 0.676 Mg
0.011 0.258 0.647 Mg
0.216 0.648 0.000 Mg
0.258 0.011 0.647 Mg
0.324 0.000 0.324 Mg
0.352 0.352 0.568 Mg
0.363 0.611 0.353 Mg
0.389 0.742 0.753 Mg
0.500 0.500 0.000 Mg
0.611 0.363 0.353 Mg
0.637 0.989 0.247 Mg
0.648 0.216 0.000 Mg
0.676 0.000 0.676 Mg
0.742 0.389 0.753 Mg
0.784 0.784 0.432 Mg
0.989 0.637 0.247 Mg
0.000 0.000 0.331 Ru
0.000 0.331 0.000 Ru
0.331 0.000 0.000 Ru
0.669 0.669 0.669 Ru
```

Top 10 peaks for 2θ = 10–80°, low angle first:
2theta	I/Imax
12.56	100
12.68	85
21.78	36
21.99	75
28.11	48
33.57	39
38.04	35
38.68	95
42.63	40
53.89	32